Record 1
This entry pairs a crystal structure of V13O16 with its simulated X-ray powder pattern. Radiation: copper Kα. Structure: a DFT-relaxed cell (PBE+U, the Materials Project).
No peak broadening, texture or thermal motion is included.

Main lines, sorted by position (2θ = 5–70°):
2θ/deg  I/Imax
16.6  100.0
26.8  14.7
33.6  60.4
34.7  19.3
44.9  19.3
48.3  16.7
51.4  15.3
57.3  27.8

Cell and atoms:
a = 11.397 Å, b = 11.397 Å, c = 11.397 Å
α = 97.21°, β = 97.21°, γ = 138.50°
Atoms (fractional coordinates):
V 0.000 0.149 0.149
V 0.000 0.359 0.359
V 0.000 0.641 0.641
V 0.000 0.851 0.851
V 0.009 0.164 0.655
V 0.009 0.354 0.845
V 0.149 0.000 0.649
V 0.149 0.500 0.149
V 0.164 0.009 0.155
V 0.354 0.009 0.345
V 0.359 0.000 0.859
V 0.359 0.500 0.359
V 0.375 0.625 0.750
V 0.500 0.149 0.649
V 0.500 0.359 0.859
V 0.500 0.641 0.141
V 0.500 0.851 0.351
V 0.625 0.375 0.250
V 0.641 0.000 0.141
V 0.641 0.500 0.641
V 0.646 0.991 0.655
V 0.836 0.991 0.845
V 0.851 0.000 0.351
V 0.851 0.500 0.851
V 0.991 0.646 0.155
V 0.991 0.836 0.345
O 0.081 0.237 0.843
O 0.087 0.248 0.346
O 0.087 0.741 0.839
O 0.106 0.763 0.343
O 0.237 0.081 0.343
O 0.237 0.894 0.157
O 0.248 0.087 0.846
O 0.248 0.401 0.161
O 0.254 0.407 0.653
O 0.254 0.601 0.847
O 0.259 0.599 0.346
O 0.259 0.913 0.661
O 0.399 0.746 0.653
O 0.401 0.248 0.661
O 0.401 0.741 0.154
O 0.407 0.254 0.153
O 0.593 0.746 0.847
O 0.599 0.259 0.846
O 0.599 0.752 0.339
O 0.601 0.254 0.347
O 0.741 0.087 0.339
O 0.741 0.401 0.654
O 0.746 0.399 0.153
O 0.746 0.593 0.347
O 0.752 0.599 0.839
O 0.752 0.913 0.154
O 0.763 0.106 0.843
O 0.763 0.919 0.657
O 0.894 0.237 0.657
O 0.913 0.259 0.161
O 0.913 0.752 0.654
O 0.919 0.763 0.157

Record 2
This entry pairs a crystal structure of Na7W9O27 with its simulated X-ray powder pattern. Radiation: copper Kα. Structure: a DFT-relaxed cell (PBE+U, the Materials Project).
No peak broadening, texture or thermal motion is included.

Main lines, sorted by position (2θ = 5–70°):
2θ/deg  I/Imax
22.8  100.0
32.5  14.3
32.5  71.2
46.6  18.9
52.5  28.0
52.5  14.0
57.9  34.3
68.0  17.0

Cell and atoms:
a = 6.752 Å, b = 8.725 Å, c = 9.552 Å
α = 79.48°, β = 89.96°, γ = 75.01°
Atoms (fractional coordinates):
Na 0.000 0.000 0.000
Na 0.112 0.666 0.556
Na 0.223 0.334 0.111
Na 0.334 0.001 0.667
Na 0.666 0.999 0.333
Na 0.777 0.666 0.889
Na 0.888 0.334 0.444
W 0.056 0.334 0.778
W 0.168 0.998 0.333
W 0.280 0.665 0.890
W 0.389 0.336 0.445
W 0.500 0.000 0.000
W 0.611 0.664 0.555
W 0.720 0.335 0.110
W 0.832 0.002 0.667
W 0.944 0.666 0.222
O 0.000 0.000 0.500
O 0.052 0.835 0.278
O 0.055 0.834 0.778
O 0.108 0.666 0.054
O 0.163 0.502 0.834
O 0.164 0.499 0.335
O 0.219 0.334 0.609
O 0.275 0.165 0.890
O 0.278 0.166 0.389
O 0.332 0.003 0.166
O 0.388 0.835 0.446
O 0.389 0.835 0.942
O 0.444 0.670 0.722
O 0.500 0.500 0.000
O 0.500 0.500 0.500
O 0.556 0.330 0.278
O 0.611 0.165 0.058
O 0.612 0.165 0.554
O 0.668 0.997 0.834
O 0.722 0.834 0.611
O 0.725 0.835 0.110
O 0.781 0.666 0.391
O 0.836 0.501 0.665
O 0.837 0.498 0.166
O 0.892 0.334 0.946
O 0.945 0.166 0.222
O 0.948 0.165 0.722

Record 3
This entry pairs a crystal structure of Li9Mn2Co5O16 with its simulated X-ray powder pattern. Radiation: copper Kα. Structure: a DFT-relaxed cell (PBE+U, the Materials Project).
No peak broadening, texture or thermal motion is included.

Main lines, sorted by position (2θ = 5–70°):
2θ/deg  I/Imax
18.5  100.0
35.0  16.8
36.8  23.3
42.1  31.1
44.7  25.3
44.8  25.1
58.9  9.4
63.1  22.3

Cell and atoms:
a = 5.897 Å, b = 5.904 Å, c = 8.590 Å
α = 88.05°, β = 70.69°, γ = 86.60°
Atoms (fractional coordinates):
Li 0.000 0.000 0.000
Li 0.000 0.499 0.997
Li 0.123 0.747 0.245
Li 0.246 0.501 0.500
Li 0.364 0.256 0.757
Li 0.499 0.002 0.997
Li 0.632 0.747 0.240
Li 0.750 0.500 0.498
Li 0.876 0.254 0.753
Mn 0.628 0.256 0.249
Mn 0.874 0.747 0.752
Co 0.127 0.253 0.244
Co 0.247 0.001 0.499
Co 0.367 0.744 0.751
Co 0.500 0.501 0.000
Co 0.748 0.001 0.499
O 0.021 0.234 0.483
O 0.112 0.513 0.746
O 0.114 0.971 0.741
O 0.242 0.252 0.015
O 0.277 0.735 0.983
O 0.381 0.032 0.260
O 0.392 0.496 0.242
O 0.474 0.767 0.516
O 0.515 0.239 0.491
O 0.632 0.528 0.755
O 0.642 0.993 0.734
O 0.723 0.265 0.013
O 0.758 0.753 0.982
O 0.853 0.006 0.260
O 0.862 0.466 0.250
O 0.979 0.762 0.506